[1]
The following is a calculated powder X-ray diffraction pattern of Na3Eu2Ge2Se6. It was derived from DFT lattice parameters and positions (GGA-PBE), using Cu Ka.

Cell and atoms:
abc: 7.3862 12.7962 8.0370
angles: 90.00 107.76 90.00
Space group C2/m (No. 12)
Symmetry-distinct sites (fractional):
1 Na 0.0000 0.0000 0.0000 (multiplicity 2)
2 Na 0.0000 0.3265 0.0000 (multiplicity 4)
3 Eu 0.0000 0.1662 0.5000 (multiplicity 4)
4 Ge 0.0537 0.5000 0.6643 (multiplicity 4)
5 Se 0.2471 0.5000 0.2499 (multiplicity 4)
6 Se 0.2476 0.3347 0.7496 (multiplicity 8)

The 10 most intense peaks (10° ≤ 2θ ≤ 90°), in order of rising 2θ:
two_theta, I/Imax
11.56, 32
24.41, 26
28.74, 100
39.77, 27
42.39, 44
52.02, 20
59.52, 8
65.57, 9
69.25, 11
75.77, 8


[2]
The following is a calculated powder X-ray diffraction pattern of EuNiGe. It was derived from DFT lattice parameters and positions (GGA-PBE), using Cu Ka.

Cell and atoms:
abc: 6.1182 6.1542 7.5687
angles: 90.00 119.95 90.00
Space group P2_1/c (No. 14)
Symmetry-distinct sites (fractional):
1 Eu 0.1991 0.1401 0.3940 (multiplicity 4)
2 Ni 0.3865 0.5943 0.3237 (multiplicity 4)
3 Ge 0.2670 0.6437 0.5721 (multiplicity 4)

The 10 most intense peaks (10° ≤ 2θ ≤ 90°), in order of rising 2θ:
two_theta, I/Imax
30.17, 31
30.90, 59
32.13, 41
32.85, 31
33.00, 100
33.82, 47
34.37, 50
38.74, 65
39.61, 72
56.48, 30


[3]
The following is a calculated powder X-ray diffraction pattern of EuNi9Ge4. It was derived from DFT lattice parameters and positions (GGA-PBE), using Cu Ka.

Cell and atoms:
abc: 8.4295 8.4295 11.2925
angles: 90.00 90.00 90.00
Space group I4/mcm (No. 140)
Symmetry-distinct sites (fractional):
1 Eu 0.0000 0.0000 0.2500 (multiplicity 4)
2 Ni 0.0000 0.5000 0.0000 (multiplicity 4)
3 Ni 0.1143 0.3857 0.1798 (multiplicity 16)
4 Ni 0.1822 0.3178 0.3825 (multiplicity 16)
5 Ge 0.0559 0.2178 0.0000 (multiplicity 16)

The 10 most intense peaks (10° ≤ 2θ ≤ 90°), in order of rising 2θ:
two_theta, I/Imax
26.39, 23
33.62, 31
34.02, 46
35.17, 23
37.30, 100
38.38, 50
45.07, 70
45.68, 77
46.89, 61
54.32, 26


[4]
The following is a calculated powder X-ray diffraction pattern of Eu2NiGe3. It was derived from DFT lattice parameters and positions (GGA-PBE), using Cu Ka.

Cell and atoms:
abc: 4.1333 4.1333 9.1855
angles: 90.00 90.00 120.00
Space group P3m1 (No. 156)
Symmetry-distinct sites (fractional):
1 Eu 0.0000 0.0000 0.0000 (multiplicity 1)
2 Eu 0.0000 0.0000 0.4627 (multiplicity 1)
3 Ni 0.3333 0.6667 0.2256 (multiplicity 1)
4 Ge 0.3333 0.6667 0.6803 (multiplicity 1)
5 Ge 0.6667 0.3333 0.2348 (multiplicity 1)
6 Ge 0.6667 0.3333 0.7849 (multiplicity 1)

The 10 most intense peaks (10° ≤ 2θ ≤ 90°), in order of rising 2θ:
two_theta, I/Imax
24.87, 12
31.69, 100
38.70, 8
39.23, 10
43.81, 38
47.01, 9
55.07, 21
60.24, 17
72.89, 18
80.50, 6


[5]
The following is a calculated powder X-ray diffraction pattern of EuNi9Ge4. It was derived from DFT lattice parameters and positions (GGA-PBE), using Cu Ka.

Cell and atoms:
abc: 7.9888 7.9888 11.8803
angles: 90.00 90.00 90.00
Space group I4/mcm (No. 140)
Symmetry-distinct sites (fractional):
1 Eu 0.0000 0.0000 0.2500 (multiplicity 4)
2 Ni 0.0000 0.5000 0.0000 (multiplicity 4)
3 Ni 0.0671 0.2036 0.0000 (multiplicity 16)
4 Ni 0.1242 0.3758 0.1815 (multiplicity 16)
5 Ge 0.1739 0.3261 0.3774 (multiplicity 16)

The 10 most intense peaks (10° ≤ 2θ ≤ 90°), in order of rising 2θ:
two_theta, I/Imax
34.11, 29
35.18, 24
35.54, 33
37.74, 51
38.73, 100
45.86, 69
46.99, 43
47.55, 48
55.44, 19
83.09, 19


[6]
The following is a calculated powder X-ray diffraction pattern of EuSiNi2Ge. It was derived from DFT lattice parameters and positions (GGA-PBE), using Cu Ka.

Cell and atoms:
abc: 4.0779 4.0779 9.9440
angles: 90.00 90.00 90.00
Space group I4mm (No. 107)
Symmetry-distinct sites (fractional):
1 Eu 0.0000 0.0000 0.0000 (multiplicity 2)
2 Si 0.0000 0.0000 0.3646 (multiplicity 2)
3 Ni 0.0000 0.5000 0.2556 (multiplicity 4)
4 Ge 0.0000 0.0000 0.6294 (multiplicity 2)

The 10 most intense peaks (10° ≤ 2θ ≤ 90°), in order of rising 2θ:
two_theta, I/Imax
23.58, 28
34.88, 77
36.01, 100
44.43, 52
51.10, 21
57.70, 36
64.65, 16
64.89, 20
70.00, 16
76.30, 25


[7]
The following is a calculated powder X-ray diffraction pattern of Eu2Ge2O7. It was derived from DFT lattice parameters and positions (GGA-PBE), using Cu Ka.

Cell and atoms:
abc: 7.0380 7.0380 12.7263
angles: 90.00 90.00 90.00
Space group P4_12_12 (No. 92)
Symmetry-distinct sites (fractional):
1 Eu 0.1175 0.3501 0.1148 (multiplicity 8)
2 Ge 0.0955 0.1565 0.6279 (multiplicity 8)
3 O 0.0241 0.0774 0.8766 (multiplicity 8)
4 O 0.0601 0.6607 0.1766 (multiplicity 8)
5 O 0.1433 0.3046 0.2964 (multiplicity 8)
6 O 0.1969 0.1969 0.5000 (multiplicity 4)

The 10 most intense peaks (10° ≤ 2θ ≤ 90°), in order of rising 2θ:
two_theta, I/Imax
14.38, 33
26.28, 83
28.05, 81
28.36, 30
29.23, 46
31.72, 100
33.07, 42
47.10, 43
51.98, 55
60.09, 24


[8]
The following is a calculated powder X-ray diffraction pattern of Eu2GeO5. It was derived from DFT lattice parameters and positions (GGA-PBE), using Cu Ka.

Cell and atoms:
abc: 9.4777 7.2744 7.0021
angles: 90.00 105.66 90.00
Space group P2_1/c (No. 14)
Symmetry-distinct sites (fractional):
1 Eu 0.0189 0.1289 0.2352 (multiplicity 4)
2 Eu 0.3704 0.1352 0.0518 (multiplicity 4)
3 Ge 0.3013 0.5892 0.0231 (multiplicity 4)
4 O 0.1078 0.1166 0.9309 (multiplicity 4)
5 O 0.1097 0.6346 0.9943 (multiplicity 4)
6 O 0.2840 0.0828 0.3313 (multiplicity 4)
7 O 0.3903 0.7071 0.4955 (multiplicity 4)
8 O 0.3913 0.0547 0.7235 (multiplicity 4)

The 10 most intense peaks (10° ≤ 2θ ≤ 90°), in order of rising 2θ:
two_theta, I/Imax
25.58, 24
27.87, 64
28.35, 76
29.36, 74
30.65, 55
30.76, 100
32.03, 70
43.59, 35
46.22, 61
54.62, 22


Number 7 is which compound?
Eu2Ge2O7


Copy entry 5 word for word.
The following is a calculated powder X-ray diffraction pattern of EuNi9Ge4. It was derived from DFT lattice parameters and positions (GGA-PBE), using Cu Ka.

Cell and atoms:
abc: 7.9888 7.9888 11.8803
angles: 90.00 90.00 90.00
Space group I4/mcm (No. 140)
Symmetry-distinct sites (fractional):
1 Eu 0.0000 0.0000 0.2500 (multiplicity 4)
2 Ni 0.0000 0.5000 0.0000 (multiplicity 4)
3 Ni 0.0671 0.2036 0.0000 (multiplicity 16)
4 Ni 0.1242 0.3758 0.1815 (multiplicity 16)
5 Ge 0.1739 0.3261 0.3774 (multiplicity 16)

The 10 most intense peaks (10° ≤ 2θ ≤ 90°), in order of rising 2θ:
two_theta, I/Imax
34.11, 29
35.18, 24
35.54, 33
37.74, 51
38.73, 100
45.86, 69
46.99, 43
47.55, 48
55.44, 19
83.09, 19